Structure and theoretical PXRD pattern of MnTl2Cl3F (DFT lattice parameters and positions (GGA+U); CuKα).
Intensities are scaled so that the largest is 100.

Principal peaks in the range 5° ≤ 2θ ≤ 70°, by angle:
2θ/deg	Rel. int.
17.85	28
21.12	30
23.32	77
26.54	68
27.32	100
31.90	36
34.49	42
34.78	70
42.49	39
44.04	36
47.69	23
62.02	32

Cell and atoms:
```
MnTl2Cl3F
1.0
-2.0970 2.6001 8.4150
2.0970 -2.6001 8.4150
2.0970 2.6001 -8.4150
Mn Tl Cl F
1 2 3 1
direct
0.0000 0.0000 0.0000
0.3514 0.3514 0.0000
0.6486 0.6486 0.0000
0.1551 0.1551 0.0000
0.5000 0.0000 0.5000
0.8449 0.8449 0.0000
0.0000 0.5000 0.5000
```